The following is a theoretical powder XRD pattern of Ba2Li3Y3Mo8O32. It was derived from the GGA+U geometry in Alexandria, using a wavelength of 1.5418 Å.
Neutral-atom scattering factors, no anomalous dispersion.

Atomic structure:
a b c (Å): 5.2980 6.9620 19.4976
angles (deg): 88.35 88.11 68.41
Space group P1 (No. 1)
Asymmetric unit:
Ba1 0.0000 0.0000 0.0000 x1
Ba2 0.0291 0.8899 0.4719 x1
Li1 0.2915 0.3189 0.4730 x1
Li2 0.7462 0.5670 0.0004 x1
Li3 0.9344 0.1642 0.1848 x1
Y1 0.1575 0.6514 0.7038 x1
Y2 0.1582 0.6516 0.2652 x1
Y3 0.8799 0.2326 0.7668 x1
Mo1 0.2854 0.4241 0.8816 x1
Mo2 0.3029 0.4141 0.0859 x1
Mo3 0.4355 0.0655 0.3248 x1
Mo4 0.4695 0.0670 0.6423 x1
Mo5 0.5680 0.8157 0.8281 x1
Mo6 0.5790 0.8413 0.1458 x1
Mo7 0.7333 0.4751 0.3880 x1
Mo8 0.7540 0.4620 0.5879 x1
O1 0.0384 0.6328 0.0499 x1
O2 0.0885 0.4596 0.8010 x1
O3 0.1119 0.3323 0.9451 x1
O4 0.1510 0.2219 0.0976 x1
O5 0.1946 0.2925 0.2843 x1
O6 0.2313 0.9839 0.6955 x1
O7 0.2558 0.0341 0.8352 x1
O8 0.2744 0.9067 0.2017 x1
O9 0.2835 0.6689 0.9049 x1
O10 0.2963 0.8634 0.3416 x1
O11 0.3177 0.1241 0.5612 x1
O12 0.4018 0.4838 0.1664 x1
O13 0.4069 0.6378 0.6050 x1
O14 0.4736 0.5441 0.4555 x1
O15 0.4901 0.7799 0.0630 x1
O16 0.5099 0.2760 0.6932 x1
O17 0.5276 0.6064 0.7767 x1
O18 0.5450 0.1144 0.4072 x1
O19 0.5744 0.3514 0.0210 x1
O20 0.5861 0.4428 0.3101 x1
O21 0.6341 0.2481 0.8659 x1
O22 0.7100 0.0434 0.1289 x1
O23 0.7216 0.7589 0.9088 x1
O24 0.7379 0.9685 0.2714 x1
O25 0.7539 0.2177 0.5649 x1
O26 0.7833 0.8500 0.6346 x1
O27 0.8056 0.8996 0.7745 x1
O28 0.8405 0.6317 0.1874 x1
O29 0.9045 0.6567 0.3721 x1
O30 0.9357 0.5496 0.5247 x1
O31 0.9492 0.4240 0.6685 x1
O32 0.9985 0.2474 0.4185 x1

Principal peaks in the range 2θ = 10–80°, in order of rising 2θ:
2θ/deg  d/Å  I/Imax  h k l
25.39  3.508  91  1 0 4
26.04  3.422  49  1 0 -4
26.34  3.383  52  1 1 -4
26.87  3.318  100  -1 1 1
27.07  3.294  63  1 2 1
28.09  3.177  52  -1 1 2
28.76  3.104  78  1 1 5
30.60  2.921  88  0 1 6
31.06  2.880  56  0 1 -6
33.86  2.647  58  2 1 0